This entry pairs a crystal structure of TbCo2IrO6 with its calculated PXRD pattern. Radiation: Cu Kα. Structure: the GGA+U geometry in Alexandria.

Main lines, sorted by position (10 to 80 degrees two-theta):
- 3.827 Å, I = 90
- 2.798 Å, I = 99
- 2.623 Å, I = 100
- 2.163 Å, I = 21
- 1.914 Å, I = 36
- 1.758 Å, I = 50
- 1.669 Å, I = 18
- 1.546 Å, I = 35
- 1.514 Å, I = 30
- 1.311 Å, I = 14

Cell and atoms:
Cell: 5.2455 5.2455 14.2076 Å, 90.00 90.00 120.00°
Space group R3 (No. 146, hexagonal axes)
Unique sites:
Tb 0.0000 0.0000 0.0000
Co 0.0000 0.0000 0.2717
Co 0.0000 0.0000 0.7953
Ir 0.0000 0.0000 0.4766
O 0.0026 0.3083 0.8771
O 0.0067 0.6105 0.0568